The following is a theoretical X-ray powder pattern of Ta4TiS8. It was derived from a cell relaxed with PBE, using Cu Kα (weighted mean of Kα1 and Kα2).
Neutral-atom scattering factors, no anomalous dispersion.

Structure:
```
Ta4TiS8
1.0
3.3931 1.9590 5.9255
-3.3931 1.9590 5.9255
0.0000 -3.9180 5.9255
Ta Ti S
4 1 8
direct
0.0000 0.0000 0.0000 Ta
0.0000 0.5000 0.5000 Ta
0.5000 0.0000 0.5000 Ta
0.5000 0.5000 0.0000 Ta
0.5000 0.5000 0.5000 Ti
0.2378 0.7495 0.7495 S
0.2482 0.2482 0.2482 S
0.2505 0.2505 0.7622 S
0.2505 0.7622 0.2505 S
0.7495 0.2378 0.7495 S
0.7495 0.7495 0.2378 S
0.7518 0.7518 0.7518 S
0.7622 0.2505 0.2505 S
```

The 6 most intense peaks (2θ = 10–90°), in order of rising 2θ:
d_spacing  2θ/deg  I/Imax
5.925  14.95  100.0
2.899  30.84  58.7
2.790  32.08  28.6
2.451  36.66  85.8
2.265  39.80  32.0
1.772  51.57  31.3